1.
Theoretical X-ray diffraction stick pattern of Cs4F for a wavelength of 1.5418 Å, from a DFT-relaxed cell (PBE, Alexandria).

Cell and atoms:
Cell lengths 9.1179, 9.1179, 15.1731 Å; angles 114.64, 114.64, 51.10 degrees
Atoms (fractional coordinates):
Cs  0.0504  0.1720  0.1957
Cs  0.1720  0.0504  0.6957
Cs  0.3688  0.4057  0.5866
Cs  0.4057  0.3688  0.0866
Cs  0.5943  0.6312  0.9134
Cs  0.6312  0.5943  0.4134
Cs  0.8280  0.9496  0.3043
Cs  0.9496  0.8280  0.8043
F  0.2703  0.7297  0.7500
F  0.7297  0.2703  0.2500

Principal peaks in the range 2θ from 10° to 80°, sorted by position:
13.2°, I = 6.2; 20.3°, I = 100.0; 22.6°, I = 14.7; 23.5°, I = 15.7; 24.4°, I = 15.3; 32.8°, I = 11.8; 33.5°, I = 11.5; 34.1°, I = 12.7; 38.4°, I = 9.9; 39.4°, I = 12.2; 40.6°, I = 13.5; 41.3°, I = 8.8



2.
Theoretical X-ray diffraction stick pattern of Ce2YPdS4 for a wavelength of 1.5418 Å, from a DFT-relaxed cell (PBE, Alexandria).

Cell and atoms:
Cell lengths 6.8553, 6.8553, 6.8189 Å; angles 90.00, 90.00, 90.00 degrees
Atoms (fractional coordinates):
Ce  0.0000  0.5000  0.0000
Ce  0.0000  0.5000  0.5000
Ce  0.5000  0.0000  0.0000
Ce  0.5000  0.0000  0.5000
Y  0.0000  0.0000  0.0000
Y  0.5000  0.5000  0.5000
Pd  0.0000  0.0000  0.5000
Pd  0.5000  0.5000  0.0000
S  0.2066  0.2066  0.2823
S  0.2066  0.7934  0.7177
S  0.2934  0.2934  0.7823
S  0.2934  0.7066  0.2177
S  0.7066  0.2934  0.2177
S  0.7066  0.7066  0.7823
S  0.7934  0.2066  0.7177
S  0.7934  0.7934  0.2823

Principal peaks in the range 2θ from 10° to 80°, sorted by position:
26.0°, I = 49.7; 26.1°, I = 23.3; 32.1°, I = 8.5; 37.1°, I = 49.2; 37.2°, I = 100.0; 45.9°, I = 25.1; 53.5°, I = 14.8; 60.4°, I = 26.0; 60.7°, I = 11.6; 66.9°, I = 28.4; 67.1°, I = 15.0; 79.3°, I = 8.6